1.
The following is a theoretical powder diffraction line list of KTa4S5F. It was derived from a cell relaxed with PBE, using Cu Ka.

Principal peaks in the range 10° ≤ 2θ ≤ 90°, in order of falling intensity:
two_theta  Rel. int.
10.38  100
37.06  71
27.87  53
33.53  49
41.26  47
18.29  42

Cell and atoms:
```
KTa4S5F
1.0
4.852 0.000 0.000
0.000 4.852 0.000
0.000 0.000 8.523
K Ta S F
1 4 5 1
Cartesian
0.000 0.000 0.000
0.000 2.426 4.261
2.426 0.000 4.261
2.426 2.426 2.343
2.426 2.426 6.180
0.000 0.000 4.261
0.000 2.426 1.838
0.000 2.426 6.684
2.426 0.000 1.838
2.426 0.000 6.684
2.426 2.426 0.000
```



2.
The following is a theoretical powder diffraction line list of Cu7Ag3. It was derived from a cell relaxed with PBE, using Cu Ka.

Principal peaks in the range 10° ≤ 2θ ≤ 90°, in order of falling intensity:
two_theta  Rel. int.
41.02  100
41.58  100
45.90  74
71.98  30
82.34  23
52.16  22

Cell and atoms:
```
Cu7Ag3
1.0
8.880 -1.383 0.000
8.880 1.383 0.000
-0.897 0.000 5.580
Cu Ag
7 3
Cartesian
0.000 0.000 0.000
-0.365 0.000 2.581
3.150 0.000 3.198
7.079 0.000 1.116
6.821 0.000 3.783
10.390 0.000 1.607
14.144 0.000 2.253
3.613 0.000 0.605
9.951 0.000 4.337
13.686 0.000 4.882
```